1.
# RbBaGdS3
Calculated powder X-ray diffraction pattern, Cu Kα (weighted mean of Kα1 and Kα2). Input: the PBE geometry in OQMD.
Lines closer than 0.1° are merged.

Cell and atoms:
Cell lengths 11.9583, 4.2332, 19.3962 Å; angles 90.00, 90.00, 90.00 degrees
Fractional coordinates of all 24 atoms:
Rb 0.2228 0.2500 0.1220
Rb 0.2772 0.7500 0.6220
Rb 0.7228 0.2500 0.3780
Rb 0.7772 0.7500 0.8780
Ba 0.2231 0.2500 0.3607
Ba 0.2769 0.7500 0.8607
Ba 0.7231 0.2500 0.1393
Ba 0.7769 0.7500 0.6393
Gd 0.0264 0.2500 0.7500
Gd 0.4736 0.7500 0.2500
Gd 0.5264 0.2500 0.7500
Gd 0.9736 0.7500 0.2500
S 0.0237 0.7500 0.6557
S 0.0299 0.7500 0.8443
S 0.2236 0.7500 0.2528
S 0.2764 0.2500 0.7528
S 0.4701 0.2500 0.3443
S 0.4763 0.2500 0.1557
S 0.5237 0.7500 0.8443
S 0.5299 0.7500 0.6557
S 0.7236 0.7500 0.2472
S 0.7764 0.2500 0.7472
S 0.9701 0.2500 0.1557
S 0.9763 0.2500 0.3443

Main lines, in order of falling intensity (2θ = 10–90°):
2θ/deg	I/Imax
31.28	100
25.15	88
26.20	68
23.62	64
43.81	40
29.89	35
39.44	32
41.40	32

2.
# Ba2Gd2Sb3
Calculated powder X-ray diffraction pattern, Cu Kα (weighted mean of Kα1 and Kα2). Input: the PBE geometry in OQMD.
Lines closer than 0.1° are merged.

Cell and atoms:
Cell lengths 9.6593, 9.6593, 14.5766 Å; angles 123.79, 123.79, 29.80 degrees
Fractional coordinates of all 14 atoms:
Ba 0.1019 0.1019 0.4698
Ba 0.2298 0.2298 0.8342
Ba 0.7702 0.7702 0.1658
Ba 0.8981 0.8981 0.5302
Gd 0.0959 0.0959 0.1661
Gd 0.4558 0.4558 0.1814
Gd 0.5442 0.5442 0.8186
Gd 0.9041 0.9041 0.8339
Sb 0.1160 0.1160 0.9706
Sb 0.3419 0.3419 0.6819
Sb 0.4117 0.4117 0.3477
Sb 0.5883 0.5883 0.6523
Sb 0.6581 0.6581 0.3181
Sb 0.8840 0.8840 0.0294

Main lines, in order of falling intensity (2θ = 10–90°):
2θ/deg	I/Imax
28.95	100
30.40	92
26.07	78
36.17	69
35.95	65
23.06	34
54.00	33
21.83	33

3.
# BaGdZnSb2
Calculated powder X-ray diffraction pattern, Cu Kα (weighted mean of Kα1 and Kα2). Input: the PBE geometry in OQMD.
Lines closer than 0.1° are merged.

Cell and atoms:
Cell lengths 9.5432, 9.5432, 7.1554 Å; angles 90.00, 90.00, 151.38 degrees
Fractional coordinates of all 10 atoms:
Ba 0.2027 0.7973 0.5000
Ba 0.7973 0.2027 0.0000
Gd 0.0081 0.9919 0.2345
Gd 0.9919 0.0081 0.7345
Zn 0.4100 0.5900 0.3853
Zn 0.5900 0.4100 0.8853
Sb 0.1515 0.8485 0.9906
Sb 0.4352 0.5648 0.9970
Sb 0.5648 0.4352 0.4970
Sb 0.8485 0.1515 0.4906

Main lines, in order of falling intensity (2θ = 10–90°):
2θ/deg	I/Imax
34.67	100
30.72	69
31.61	51
26.86	43
38.15	41
50.36	27
26.72	27
31.76	25

4.
# BaGdTlSe3
Calculated powder X-ray diffraction pattern, Cu Kα (weighted mean of Kα1 and Kα2). Input: the PBE geometry in OQMD.
Lines closer than 0.1° are merged.

Cell and atoms:
Cell lengths 8.0015, 8.0015, 12.2147 Å; angles 90.00, 90.00, 148.80 degrees
Fractional coordinates of all 12 atoms:
Ba 0.1677 0.8323 0.7500
Ba 0.8323 0.1677 0.2500
Gd 0.5000 0.5000 0.0000
Gd 0.5000 0.5000 0.5000
Tl 0.1273 0.8727 0.2500
Tl 0.8727 0.1273 0.7500
Se 0.1250 0.8750 0.5011
Se 0.1250 0.8750 0.9989
Se 0.4913 0.5087 0.2500
Se 0.5087 0.4913 0.7500
Se 0.8750 0.1250 0.0011
Se 0.8750 0.1250 0.4989

Main lines, in order of falling intensity (2θ = 10–90°):
2θ/deg	I/Imax
27.02	100
40.24	69
29.25	55
11.48	24
46.91	24
51.98	22
41.98	21
35.83	20

5.
# BaGeIr2
Calculated powder X-ray diffraction pattern, Cu Kα (weighted mean of Kα1 and Kα2). Input: the PBE geometry in OQMD.
Lines closer than 0.1° are merged.

Cell and atoms:
Cell lengths 4.2652, 7.6454, 5.4577 Å; angles 90.00, 90.00, 90.00 degrees
Fractional coordinates of all 8 atoms:
Ba 0.0000 0.0833 0.0000
Ba 0.5000 0.9167 0.5000
Ge 0.0000 0.6227 0.2560
Ge 0.5000 0.3773 0.7560
Ir 0.0000 0.3378 0.5055
Ir 0.0000 0.6481 0.7326
Ir 0.5000 0.3519 0.2326
Ir 0.5000 0.6622 0.0055

Main lines, in order of falling intensity (2θ = 10–90°):
2θ/deg	I/Imax
41.00	100
29.02	77
11.57	65
28.51	56
42.38	43
46.08	38
35.22	36
44.62	27

6.
# Ba2MgGe4Ir4
Calculated powder X-ray diffraction pattern, Cu Kα (weighted mean of Kα1 and Kα2). Input: the PBE geometry in OQMD.
Lines closer than 0.1° are merged.

Cell and atoms:
Cell lengths 6.6594, 6.6594, 11.6891 Å; angles 90.00, 90.00, 65.29 degrees
Fractional coordinates of all 22 atoms:
Ba 0.2043 0.2043 0.0000
Ba 0.2043 0.2043 0.5000
Ba 0.7957 0.7957 0.0000
Ba 0.7957 0.7957 0.5000
Mg 0.0190 0.9810 0.7500
Mg 0.9810 0.0190 0.2500
Ge 0.1068 0.5225 0.2500
Ge 0.3333 0.6667 0.5771
Ge 0.3333 0.6667 0.9229
Ge 0.4775 0.8932 0.2500
Ge 0.5225 0.1068 0.7500
Ge 0.6667 0.3333 0.0771
Ge 0.6667 0.3333 0.4229
Ge 0.8932 0.4775 0.7500
Ir 0.2407 0.5043 0.7500
Ir 0.3209 0.6791 0.1295
Ir 0.3209 0.6791 0.3705
Ir 0.4957 0.7593 0.7500
Ir 0.5043 0.2407 0.2500
Ir 0.6791 0.3209 0.6295
Ir 0.6791 0.3209 0.8705
Ir 0.7593 0.4957 0.2500

Main lines, in order of falling intensity (2θ = 10–90°):
2θ/deg	I/Imax
14.64	100
31.01	73
38.43	66
34.61	64
55.36	55
41.58	42
41.41	35
42.95	35

7.
# BaGePIr2
Calculated powder X-ray diffraction pattern, Cu Kα (weighted mean of Kα1 and Kα2). Input: the PBE geometry in OQMD.
Lines closer than 0.1° are merged.

Cell and atoms:
Cell lengths 7.0372, 7.0372, 7.0372 Å; angles 146.39, 146.39, 48.27 degrees
Fractional coordinates of all 5 atoms:
Ba 0.0000 0.0000 0.0000
Ge 0.6477 0.6477 0.0000
P 0.3523 0.3523 0.0000
Ir 0.2617 0.7617 0.5000
Ir 0.7617 0.2617 0.5000

Main lines, in order of falling intensity (2θ = 10–90°):
2θ/deg	I/Imax
34.14	100
13.79	68
53.33	59
44.53	38
75.36	34
42.17	32
30.30	32
27.78	31

8.
# BaSnGe2Ir
Calculated powder X-ray diffraction pattern, Cu Kα (weighted mean of Kα1 and Kα2). Input: the PBE geometry in OQMD.
Lines closer than 0.1° are merged.

Cell and atoms:
Cell lengths 6.2723, 6.2723, 6.2723 Å; angles 135.94, 135.94, 64.08 degrees
Fractional coordinates of all 5 atoms:
Ba 0.0000 0.0000 0.0000
Sn 0.5938 0.5938 0.0000
Ge 0.2557 0.7557 0.5000
Ge 0.7557 0.2557 0.5000
Ir 0.3443 0.3443 0.0000

Main lines, in order of falling intensity (2θ = 10–90°):
2θ/deg	I/Imax
31.60	100
38.25	86
31.72	56
50.43	54
26.79	52
43.58	33
20.64	31
55.21	30

9.
# Ba2Li3NiGe2
Calculated powder X-ray diffraction pattern, Cu Kα (weighted mean of Kα1 and Kα2). Input: the PBE geometry in OQMD.
Lines closer than 0.1° are merged.

Cell and atoms:
Cell lengths 6.0478, 4.3984, 6.9872 Å; angles 90.00, 90.69, 90.00 degrees
Fractional coordinates of all 8 atoms:
Ba 0.0000 0.0000 0.0000
Ba 0.2294 0.5000 0.5308
Li 0.5201 0.0000 0.2171
Li 0.5258 0.0000 0.8183
Li 0.7191 0.5000 0.3353
Ni 0.7107 0.5000 0.7030
Ge 0.4938 0.5000 0.0020
Ge 0.7877 0.0000 0.5387

Main lines, in order of falling intensity (2θ = 10–90°):
2θ/deg	I/Imax
25.03	100
25.50	90
32.40	81
28.07	80
28.23	79
36.17	68
32.11	67
46.46	55

10.
# Ba2LiNi3Ge2
Calculated powder X-ray diffraction pattern, Cu Kα (weighted mean of Kα1 and Kα2). Input: the PBE geometry in OQMD.
Lines closer than 0.1° are merged.

Cell and atoms:
Cell lengths 6.0040, 4.2275, 6.8329 Å; angles 90.00, 90.49, 90.00 degrees
Fractional coordinates of all 8 atoms:
Ba 0.0000 0.0000 0.0000
Ba 0.2366 0.5000 0.5219
Li 0.7114 0.5000 0.3314
Ni 0.5177 0.0000 0.8393
Ni 0.5226 0.0000 0.2030
Ni 0.7022 0.5000 0.7063
Ge 0.4930 0.5000 0.0112
Ge 0.7096 0.0000 0.5290

Main lines, in order of falling intensity (2θ = 10–90°):
2θ/deg	I/Imax
32.69	100
32.47	82
47.71	72
29.01	71
42.78	69
36.90	67
37.09	66
24.77	62

11.
# BaMgZnGe2
Calculated powder X-ray diffraction pattern, Cu Kα (weighted mean of Kα1 and Kα2). Input: the PBE geometry in OQMD.
Lines closer than 0.1° are merged.

Cell and atoms:
Cell lengths 6.4573, 6.4573, 6.4573 Å; angles 138.42, 138.42, 60.26 degrees
Fractional coordinates of all 5 atoms:
Ba 0.0000 0.0000 0.0000
Mg 0.7500 0.2500 0.5000
Zn 0.2500 0.7500 0.5000
Ge 0.3822 0.3822 0.0000
Ge 0.6178 0.6178 0.0000

Main lines, in order of falling intensity (2θ = 10–90°):
2θ/deg	I/Imax
31.92	100
30.94	96
39.31	69
50.84	47
45.15	44
27.52	43
61.38	35
66.66	24

12.
# Ba4Ni3Ge20
Calculated powder X-ray diffraction pattern, Cu Kα (weighted mean of Kα1 and Kα2). Input: the PBE geometry in OQMD.
Lines closer than 0.1° are merged.

Cell and atoms:
Cell lengths 10.7259, 10.7259, 10.7259 Å; angles 90.00, 90.00, 90.00 degrees
Fractional coordinates of all 54 atoms:
Ba 0.0000 0.0000 0.0000
Ba 0.0000 0.2500 0.5000
Ba 0.0000 0.7500 0.5000
Ba 0.2500 0.5000 0.0000
Ba 0.5000 0.0000 0.2500
Ba 0.5000 0.0000 0.7500
Ba 0.5000 0.5000 0.5000
Ba 0.7500 0.5000 0.0000
Ni 0.0000 0.5000 0.2500
Ni 0.0000 0.5000 0.7500
Ni 0.2500 0.0000 0.5000
Ni 0.5000 0.2500 0.0000
Ni 0.5000 0.7500 0.0000
Ni 0.7500 0.0000 0.5000
Ge 0.0000 0.3228 0.1241
Ge 0.0000 0.3228 0.8759
Ge 0.0000 0.6772 0.1241
Ge 0.0000 0.6772 0.8759
Ge 0.1241 0.0000 0.3228
Ge 0.1241 0.0000 0.6772
Ge 0.1772 0.5000 0.3759
Ge 0.1772 0.5000 0.6241
Ge 0.1830 0.1830 0.1830
Ge 0.1830 0.1830 0.8170
Ge 0.1830 0.8170 0.1830
Ge 0.1830 0.8170 0.8170
Ge 0.3170 0.3170 0.3170
Ge 0.3170 0.3170 0.6830
Ge 0.3170 0.6830 0.3170
Ge 0.3170 0.6830 0.6830
Ge 0.3228 0.1241 0.0000
Ge 0.3228 0.8759 0.0000
Ge 0.3759 0.1772 0.5000
Ge 0.3759 0.8228 0.5000
Ge 0.5000 0.3759 0.1772
Ge 0.5000 0.3759 0.8228
Ge 0.5000 0.6241 0.1772
Ge 0.5000 0.6241 0.8228
Ge 0.6241 0.1772 0.5000
Ge 0.6241 0.8228 0.5000
Ge 0.6772 0.1241 0.0000
Ge 0.6772 0.8759 0.0000
Ge 0.6830 0.3170 0.3170
Ge 0.6830 0.3170 0.6830
Ge 0.6830 0.6830 0.3170
Ge 0.6830 0.6830 0.6830
Ge 0.8170 0.1830 0.1830
Ge 0.8170 0.1830 0.8170
Ge 0.8170 0.8170 0.1830
Ge 0.8170 0.8170 0.8170
Ge 0.8228 0.5000 0.3759
Ge 0.8228 0.5000 0.6241
Ge 0.8759 0.0000 0.3228
Ge 0.8759 0.0000 0.6772

Main lines, in order of falling intensity (2θ = 10–90°):
2θ/deg	I/Imax
31.20	100
30.04	40
52.60	40
49.56	31
51.09	25
28.83	21
34.48	14
50.33	9